This entry pairs a crystal structure of Li9Mn2Co5O16 with its calculated PXRD pattern. Radiation: a wavelength of 1.5418 Å. Structure: DFT lattice parameters and positions (PBE+U).

Principal peaks in the range 2θ from 10° to 80°, most intense first:
- hkl 1 0 -2, 2θ 18.32, I = 100.0
- hkl 0 1 4, 2θ 43.76, I = 53.1
- hkl 4 0 0, 2θ 42.82, I = 26.8
- hkl 1 1 2, 2θ 36.10, I = 25.4
- hkl 0 0 8, 2θ 62.99, I = 20.2
- hkl 3 0 2, 2θ 35.37, I = 14.4
- hkl 4 1 -4, 2θ 62.81, I = 14.3
- hkl 3 1 -2, 2θ 47.52, I = 12.9
- hkl 1 1 -6, 2θ 57.64, I = 9.6
- hkl 0 2 0, 2θ 64.17, I = 7.3

Structural model:
```
data_Li9Mn2Co5O16
_chemical_formula_sum 'Li9 Mn2 Co5 O16'
_cell_length_a 8.4469
_cell_length_b 2.9028
_cell_length_c 11.7969
_cell_angle_alpha 90.00
_cell_angle_beta 90.18
_cell_angle_gamma 90.00
_symmetry_space_group_name_H-M 'P 1 m 1'
_symmetry_Int_Tables_number 6
loop_
_symmetry_equiv_pos_as_xyz
'x,y,z'
'x,-y,z'
loop_
_atom_site_label
_atom_site_type_symbol
_atom_site_fract_x
_atom_site_fract_y
_atom_site_fract_z
Li1 Li 0.0000 0.0000 0.0000
Li2 Li 0.0001 0.0000 0.4909
Li3 Li 0.2512 0.5000 0.1250
Li4 Li 0.2657 0.5000 0.6106
Li5 Li 0.4964 0.0000 0.4933
Li6 Li 0.4975 0.0000 0.2491
Li7 Li 0.5007 0.0000 0.7426
Li8 Li 0.7437 0.5000 0.3746
Li9 Li 0.7522 0.5000 0.8674
Mn1 Mn 0.5028 0.0000 0.9947
Mn2 Mn 0.9976 0.0000 0.7421
Co1 Co 0.0070 0.0000 0.2471
Co2 Co 0.2449 0.5000 0.8702
Co3 Co 0.2659 0.5000 0.3739
Co4 Co 0.7238 0.5000 0.6115
Co5 Co 0.7587 0.5000 0.1218
O1 O 0.9997 0.5000 0.1290
O2 O 0.0088 0.5000 0.6346
O3 O 0.0203 0.5000 0.3619
O4 O 0.2346 0.0000 0.7594
O5 O 0.2445 0.0000 0.9793
O6 O 0.2454 0.0000 0.2500
O7 O 0.2465 0.0000 0.4857
O8 O 0.4750 0.5000 0.3681
O9 O 0.5011 0.5000 0.8806
O10 O 0.5043 0.5000 0.1079
O11 O 0.5114 0.5000 0.6251
O12 O 0.7545 0.0000 0.5014
O13 O 0.7575 0.0000 0.2394
O14 O 0.7595 0.0000 0.0063
O15 O 0.7726 0.0000 0.7342
O16 O 0.9958 0.5000 0.8534
```

This entry pairs a crystal structure of Ba4La8Mn11SnO36 with its calculated PXRD pattern. Radiation: a wavelength of 1.5418 Å. Structure: DFT lattice parameters and positions (PBE+U).

Principal peaks in the range 2θ from 10° to 80°, most intense first:
- hkl 2 0 -1, 2θ 31.81, I = 100.0
- hkl 0 2 3, 2θ 31.68, I = 98.3
- hkl 1 1 7, 2θ 56.47, I = 47.4
- hkl -2 2 4, 2θ 45.52, I = 41.7
- hkl 2 -2 2, 2θ 39.09, I = 23.6
- hkl 1 1 1, 2θ 22.30, I = 23.1
- hkl 2 2 2, 2θ 45.50, I = 21.0
- hkl 3 3 -3, 2θ 56.76, I = 19.1
- hkl 4 0 -2, 2θ 66.48, I = 18.3
- hkl 0 4 6, 2θ 66.17, I = 17.4

Structural model:
```
data_Ba4La8Mn11SnO36
_chemical_formula_sum 'Ba4 La8 Mn11 Sn1 O36'
_cell_length_a 5.6273
_cell_length_b 9.7720
_cell_length_c 14.9041
_cell_angle_alpha 108.98
_cell_angle_beta 100.58
_cell_angle_gamma 90.27
_symmetry_space_group_name_H-M 'P 1'
_symmetry_Int_Tables_number 1
loop_
_symmetry_equiv_pos_as_xyz
'x,y,z'
loop_
_atom_site_label
_atom_site_type_symbol
_atom_site_fract_x
_atom_site_fract_y
_atom_site_fract_z
Ba1 Ba 0.0000 0.0000 0.0000
Ba2 Ba 0.1643 0.5060 0.3322
Ba3 Ba 0.6634 0.9993 0.3330
Ba4 Ba 0.8349 0.5029 0.6716
La1 La 0.0830 0.7528 0.1676
La2 La 0.2491 0.2432 0.5050
La3 La 0.3334 0.0021 0.6697
La4 La 0.4160 0.7527 0.8363
La5 La 0.5003 0.5057 0.0033
La6 La 0.5785 0.2492 0.1610
La7 La 0.7505 0.7614 0.5028
La8 La 0.9165 0.2530 0.8364
Mn1 Mn 0.0403 0.3783 0.0836
Mn2 Mn 0.1226 0.1239 0.2490
Mn3 Mn 0.2077 0.8768 0.4182
Mn4 Mn 0.2908 0.6321 0.5867
Mn5 Mn 0.3751 0.3773 0.7533
Mn6 Mn 0.4571 0.1282 0.9159
Mn7 Mn 0.5402 0.8766 0.0839
Mn8 Mn 0.6242 0.6285 0.2493
Mn9 Mn 0.7928 0.1269 0.5882
Mn10 Mn 0.8742 0.8783 0.7521
Mn11 Mn 0.9582 0.6261 0.9191
Sn1 Sn 0.7078 0.3783 0.4182
O1 O 0.0083 0.5288 0.0188
O2 O 0.0302 0.0022 0.5187
O3 O 0.0350 0.4748 0.5045
O4 O 0.0552 0.7600 0.6500
O5 O 0.0745 0.2604 0.6698
O6 O 0.0778 0.2425 0.1566
O7 O 0.1742 0.0287 0.3560
O8 O 0.1951 0.4987 0.8520
O9 O 0.1972 0.9792 0.8291
O10 O 0.2208 0.2612 0.9821
O11 O 0.2400 0.7575 0.0007
O12 O 0.2454 0.7469 0.4959
O13 O 0.3436 0.0007 0.1748
O14 O 0.3449 0.5327 0.6911
O15 O 0.3616 0.4767 0.1600
O16 O 0.3818 0.7546 0.3163
O17 O 0.3945 0.2619 0.3335
O18 O 0.4078 0.2294 0.8196
O19 O 0.5081 0.0296 0.0156
O20 O 0.5182 0.5106 0.5145
O21 O 0.5224 0.9781 0.5085
O22 O 0.5426 0.2438 0.6531
O23 O 0.5568 0.7776 0.6685
O24 O 0.5750 0.7282 0.1531
O25 O 0.6728 0.5351 0.3518
O26 O 0.6785 0.0072 0.8402
O27 O 0.6901 0.4732 0.8417
O28 O 0.7087 0.7410 0.9836
O29 O 0.7245 0.2772 0.9986
O30 O 0.7470 0.2359 0.4963
O31 O 0.8406 0.0282 0.6838
O32 O 0.8423 0.5031 0.1706
O33 O 0.8616 0.9745 0.1679
O34 O 0.8758 0.2493 0.3114
O35 O 0.9061 0.7647 0.3343
O36 O 0.9134 0.7406 0.8291
```

This entry pairs a crystal structure of Li3VPCO7 with its calculated PXRD pattern. Radiation: a wavelength of 1.5418 Å. Structure: DFT lattice parameters and positions (PBE+U).

Principal peaks in the range 2θ from 10° to 80°, most intense first:
- hkl 2 0 0, 2θ 26.93, I = 100.0
- hkl 0 1 0, 2θ 10.42, I = 79.4
- hkl 0 1 -4, 2θ 36.79, I = 34.0
- hkl 1 1 2, 2θ 25.58, I = 30.3
- hkl 0 1 2, 2θ 21.59, I = 29.6
- hkl 0 2 -2, 2θ 26.32, I = 25.7
- hkl 4 0 0, 2θ 55.52, I = 24.4
- hkl 0 0 4, 2θ 36.23, I = 22.4
- hkl 0 1 -2, 2θ 19.87, I = 22.2
- hkl 2 2 0, 2θ 34.46, I = 16.2

Structural model:
```
data_Li3VPCO7
_chemical_formula_sum 'Li12 V4 P4 C4 O28'
_cell_length_a 6.6218
_cell_length_b 8.5253
_cell_length_c 9.9629
_cell_angle_alpha 95.40
_cell_angle_beta 90.36
_cell_angle_gamma 90.35
_symmetry_space_group_name_H-M 'P 1'
_symmetry_Int_Tables_number 1
loop_
_symmetry_equiv_pos_as_xyz
'x,y,z'
loop_
_atom_site_label
_atom_site_type_symbol
_atom_site_fract_x
_atom_site_fract_y
_atom_site_fract_z
Li1 Li 0.0000 0.0000 0.0000
Li2 Li 0.0006 0.9945 0.5023
Li3 Li 0.0045 0.5520 0.7871
Li4 Li 0.2133 0.1814 0.7642
Li5 Li 0.2187 0.1793 0.2595
Li6 Li 0.2639 0.6184 0.9994
Li7 Li 0.2660 0.6176 0.5207
Li8 Li 0.4891 0.7956 0.7794
Li9 Li 0.4936 0.8022 0.2679
Li10 Li 0.7392 0.6200 0.9986
Li11 Li 0.7782 0.1772 0.2591
Li12 Li 0.7843 0.1815 0.7635
V1 V 0.0037 0.5678 0.2790
V2 V 0.4984 0.2252 0.4896
V3 V 0.4999 0.2269 0.9906
V4 V 0.7411 0.6238 0.5325
P1 P 0.9996 0.3118 0.0258
P2 P 0.4983 0.4887 0.7478
P3 P 0.4998 0.4867 0.2488
P4 P 0.9993 0.3050 0.5275
C1 C 0.4970 0.9345 0.5414
C2 C 0.4995 0.9328 0.0390
C3 C 0.9955 0.8617 0.7366
C4 C 0.9980 0.8626 0.2337
O1 O 0.0000 0.3283 0.1844
O2 O 0.9998 0.4730 0.4752
O3 O 0.0002 0.4763 0.9759
O4 O 0.0008 0.8288 0.8586
O5 O 0.1813 0.2062 0.4705
O6 O 0.1816 0.2078 0.9746
O7 O 0.3135 0.5881 0.7945
O8 O 0.3199 0.5916 0.3013
O9 O 0.4954 0.7885 0.5729
O10 O 0.4960 0.0490 0.6360
O11 O 0.4959 0.3204 0.2982
O12 O 0.4982 0.9672 0.4173
O13 O 0.4977 0.9722 0.9164
O14 O 0.4995 0.3224 0.7969
O15 O 0.5004 0.0461 0.1369
O16 O 0.4996 0.4659 0.5868
O17 O 0.5001 0.7863 0.0649
O18 O 0.5065 0.4685 0.0923
O19 O 0.6847 0.5872 0.3093
O20 O 0.6882 0.5900 0.7906
O21 O 0.8156 0.2047 0.4701
O22 O 0.8170 0.2064 0.9734
O23 O 0.9893 0.7477 0.6375
O24 O 0.9984 0.0073 0.7042
O25 O 0.9979 0.0077 0.2068
O26 O 0.9979 0.7481 0.1374
O27 O 0.9994 0.3264 0.6826
O28 O 0.9993 0.8236 0.3577
```